Record 1
Y9C4I8O: theoretical powder X-ray diffraction pattern (Cu Ka), based on a structure optimized by DFT (GGA-PBE).
No peak broadening, texture or thermal motion is included.

Crystal structure
Cell lengths 3.862, 29.168, 11.367 Å; angles 90.00, 90.00, 90.00 degrees
Positions (direct):
1 Y 0.250 0.029 0.101
2 Y 0.250 0.079 0.826
3 Y 0.250 0.250 0.954
4 Y 0.250 0.421 0.826
5 Y 0.250 0.471 0.101
6 Y 0.250 0.636 0.970
7 Y 0.250 0.684 0.236
8 Y 0.250 0.816 0.236
9 Y 0.250 0.864 0.970
10 Y 0.750 0.136 0.030
11 Y 0.750 0.184 0.764
12 Y 0.750 0.316 0.764
13 Y 0.750 0.364 0.030
14 Y 0.750 0.529 0.899
15 Y 0.750 0.579 0.174
16 Y 0.750 0.750 0.046
17 Y 0.750 0.921 0.174
18 Y 0.750 0.971 0.899
19 C 0.250 0.162 0.890
20 C 0.250 0.338 0.890
21 C 0.250 0.555 0.036
22 C 0.250 0.945 0.036
23 C 0.750 0.055 0.964
24 C 0.750 0.445 0.964
25 C 0.750 0.662 0.110
26 C 0.750 0.838 0.110
27 I 0.250 0.127 0.240
28 I 0.250 0.250 0.593
29 I 0.250 0.373 0.240
30 I 0.250 0.512 0.687
31 I 0.250 0.603 0.397
32 I 0.250 0.750 0.834
33 I 0.250 0.897 0.397
34 I 0.250 0.988 0.687
35 I 0.750 0.012 0.313
36 I 0.750 0.103 0.603
37 I 0.750 0.250 0.166
38 I 0.750 0.397 0.603
39 I 0.750 0.488 0.313
40 I 0.750 0.627 0.760
41 I 0.750 0.750 0.407
42 I 0.750 0.873 0.760
43 O 0.250 0.750 0.143
44 O 0.750 0.250 0.857

Most intense lines, 10 to 90 degrees two-theta, by angle:
27.3 deg, I 100.0; 28.6 deg, I 96.2; 29.4 deg, I 85.6; 30.6 deg, I 74.9; 31.9 deg, I 96.0; 33.7 deg, I 68.5; 34.4 deg, I 72.8; 47.1 deg, I 53.2

Record 2
Zr6CI14O10: theoretical powder X-ray diffraction pattern (Cu Ka), based on a structure optimized by DFT (GGA-PBE).
No peak broadening, texture or thermal motion is included.

Crystal structure
Cell lengths 10.543, 10.717, 11.243 Å; angles 117.62, 95.28, 95.71 degrees
Positions (direct):
1 Zr 0.154 0.235 0.315
2 Zr 0.160 0.538 0.782
3 Zr 0.230 0.731 0.497
4 Zr 0.770 0.269 0.503
5 Zr 0.840 0.462 0.218
6 Zr 0.846 0.765 0.685
7 C 0.000 0.500 0.500
8 I 0.007 0.767 0.915
9 I 0.060 0.671 0.248
10 I 0.069 0.938 0.661
11 I 0.276 0.298 0.588
12 I 0.338 0.472 0.335
13 I 0.347 0.741 0.751
14 I 0.467 0.842 0.192
15 I 0.533 0.158 0.808
16 I 0.653 0.259 0.249
17 I 0.662 0.528 0.665
18 I 0.724 0.702 0.412
19 I 0.931 0.062 0.339
20 I 0.940 0.329 0.752
21 I 0.993 0.233 0.085
22 O 0.238 0.094 0.221
23 O 0.247 0.556 0.933
24 O 0.317 0.198 0.981
25 O 0.351 0.855 0.491
26 O 0.396 0.270 0.950
27 O 0.604 0.730 0.050
28 O 0.649 0.145 0.509
29 O 0.683 0.802 0.019
30 O 0.753 0.444 0.067
31 O 0.762 0.906 0.779

Most intense lines, 10 to 90 degrees two-theta, by angle:
18.0 deg, I 69.0; 18.9 deg, I 65.4; 25.1 deg, I 85.3; 26.3 deg, I 38.0; 26.5 deg, I 100.0; 27.4 deg, I 96.7; 37.8 deg, I 35.1; 44.7 deg, I 46.3

Record 3
Pr7C3I10: theoretical powder X-ray diffraction pattern (Cu Ka), based on a structure optimized by DFT (GGA-PBE).
No peak broadening, texture or thermal motion is included.

Crystal structure
Cell lengths 9.792, 11.842, 14.071 Å; angles 79.37, 71.46, 66.17 degrees
Positions (direct):
1 Pr 0.042 0.292 0.308
2 Pr 0.124 0.571 0.360
3 Pr 0.245 0.452 0.080
4 Pr 0.335 0.741 0.100
5 Pr 0.367 0.222 0.413
6 Pr 0.451 0.080 0.166
7 Pr 0.452 0.616 0.823
8 Pr 0.548 0.384 0.177
9 Pr 0.549 0.920 0.834
10 Pr 0.633 0.778 0.587
11 Pr 0.665 0.259 0.900
12 Pr 0.755 0.548 0.920
13 Pr 0.876 0.429 0.640
14 Pr 0.958 0.708 0.692
15 C 0.256 0.388 0.275
16 C 0.332 0.275 0.230
17 C 0.461 0.557 0.022
18 C 0.539 0.443 0.978
19 C 0.668 0.725 0.770
20 C 0.744 0.612 0.725
21 I 0.004 0.720 0.170
22 I 0.066 0.155 0.521
23 I 0.103 0.579 0.877
24 I 0.145 0.024 0.225
25 I 0.215 0.453 0.569
26 I 0.219 0.893 0.909
27 I 0.313 0.748 0.626
28 I 0.354 0.196 0.958
29 I 0.431 0.632 0.304
30 I 0.459 0.065 0.638
31 I 0.541 0.935 0.362
32 I 0.569 0.368 0.696
33 I 0.646 0.804 0.042
34 I 0.687 0.252 0.374
35 I 0.781 0.107 0.091
36 I 0.785 0.547 0.431
37 I 0.855 0.976 0.775
38 I 0.897 0.421 0.123
39 I 0.934 0.845 0.479
40 I 0.996 0.280 0.830

Most intense lines, 10 to 90 degrees two-theta, by angle:
27.4 deg, I 100.0; 28.9 deg, I 88.0; 29.3 deg, I 72.1; 34.7 deg, I 24.5; 39.9 deg, I 28.4; 40.4 deg, I 27.6; 40.6 deg, I 57.3; 42.6 deg, I 22.9

Record 4
RbPr6C2I12: theoretical powder X-ray diffraction pattern (Cu Ka), based on a structure optimized by DFT (GGA-PBE).
No peak broadening, texture or thermal motion is included.

Crystal structure
Cell lengths 9.773, 9.801, 10.264 Å; angles 70.83, 71.91, 72.58 degrees
Positions (direct):
1 Rb 0.000 0.000 0.000
2 Pr 0.230 0.590 0.476
3 Pr 0.392 0.524 0.807
4 Pr 0.469 0.228 0.590
5 Pr 0.531 0.772 0.410
6 Pr 0.608 0.476 0.193
7 Pr 0.770 0.410 0.524
8 C 0.476 0.506 0.571
9 C 0.524 0.494 0.429
10 I 0.064 0.649 0.780
11 I 0.134 0.281 0.570
12 I 0.217 0.929 0.354
13 I 0.277 0.588 0.143
14 I 0.340 0.198 0.922
15 I 0.430 0.863 0.709
16 I 0.570 0.137 0.291
17 I 0.660 0.802 0.078
18 I 0.723 0.412 0.857
19 I 0.783 0.071 0.646
20 I 0.866 0.719 0.430
21 I 0.936 0.351 0.220

Most intense lines, 10 to 90 degrees two-theta, by angle:
24.6 deg, I 34.2; 27.5 deg, I 100.0; 28.8 deg, I 79.9; 29.1 deg, I 86.3; 39.8 deg, I 32.6; 40.2 deg, I 30.6; 40.7 deg, I 32.3; 40.9 deg, I 31.7

Record 5
Sc2CI3: theoretical powder X-ray diffraction pattern (Cu Ka), based on a structure optimized by DFT (GGA-PBE).
No peak broadening, texture or thermal motion is included.

Crystal structure
Cell lengths 11.069, 11.167, 14.237 Å; angles 72.44, 88.53, 60.79 degrees
Positions (direct):
1 Sc 0.013 0.195 0.400
2 Sc 0.075 0.644 0.837
3 Sc 0.149 0.841 0.381
4 Sc 0.194 0.910 0.607
5 Sc 0.304 0.482 0.120
6 Sc 0.336 0.533 0.663
7 Sc 0.339 0.716 0.895
8 Sc 0.435 0.407 0.898
9 Sc 0.565 0.593 0.102
10 Sc 0.661 0.284 0.105
11 Sc 0.664 0.467 0.337
12 Sc 0.696 0.518 0.880
13 Sc 0.806 0.090 0.393
14 Sc 0.851 0.159 0.619
15 Sc 0.925 0.356 0.163
16 Sc 0.987 0.805 0.600
17 C 0.040 0.958 0.471
18 C 0.170 0.713 0.708
19 C 0.281 0.613 0.792
20 C 0.449 0.497 0.030
21 C 0.551 0.503 0.970
22 C 0.719 0.387 0.208
23 C 0.830 0.287 0.292
24 C 0.960 0.042 0.529
25 I 0.062 0.469 0.250
26 I 0.078 0.770 0.993
27 I 0.092 0.065 0.755
28 I 0.141 0.579 0.500
29 I 0.196 0.069 0.251
30 I 0.215 0.358 0.001
31 I 0.270 0.127 0.506
32 I 0.348 0.622 0.252
33 I 0.363 0.898 0.993
34 I 0.370 0.260 0.762
35 I 0.419 0.715 0.506
36 I 0.495 0.802 0.744
37 I 0.505 0.198 0.256
38 I 0.581 0.285 0.494
39 I 0.630 0.740 0.238
40 I 0.637 0.102 0.007
41 I 0.652 0.378 0.748
42 I 0.730 0.873 0.494
43 I 0.785 0.642 0.999
44 I 0.804 0.931 0.749
45 I 0.859 0.421 0.500
46 I 0.908 0.935 0.245
47 I 0.922 0.230 0.007
48 I 0.938 0.531 0.750

Most intense lines, 10 to 90 degrees two-theta, by angle:
26.6 deg, I 100.0; 27.1 deg, I 92.4; 27.5 deg, I 84.8; 27.7 deg, I 63.1; 28.0 deg, I 69.8; 28.2 deg, I 73.6; 28.4 deg, I 68.6; 42.6 deg, I 63.2

Record 6
Sc7CI12: theoretical powder X-ray diffraction pattern (Cu Ka), based on a structure optimized by DFT (GGA-PBE).
No peak broadening, texture or thermal motion is included.

Crystal structure
Cell lengths 9.393, 9.393, 9.393 Å; angles 108.16, 108.16, 108.16 degrees
Positions (direct):
1 Sc 0.000 0.000 0.000
2 Sc 0.258 0.440 0.500
3 Sc 0.440 0.500 0.258
4 Sc 0.500 0.258 0.440
5 Sc 0.563 0.798 0.621
6 Sc 0.621 0.563 0.798
7 Sc 0.798 0.621 0.563
8 C 0.525 0.525 0.525
9 I 0.071 0.364 0.143
10 I 0.143 0.071 0.364
11 I 0.230 0.749 0.600
12 I 0.306 0.450 0.824
13 I 0.364 0.143 0.071
14 I 0.450 0.824 0.306
15 I 0.600 0.230 0.749
16 I 0.673 0.909 0.985
17 I 0.749 0.600 0.230
18 I 0.824 0.306 0.450
19 I 0.909 0.985 0.673
20 I 0.985 0.673 0.909

Most intense lines, 10 to 90 degrees two-theta, by angle:
26.0 deg, I 78.6; 26.8 deg, I 24.3; 30.3 deg, I 100.0; 42.9 deg, I 34.7; 43.9 deg, I 32.1; 50.8 deg, I 13.6; 51.3 deg, I 27.6; 53.4 deg, I 15.6

Record 7
Tb2CI: theoretical powder X-ray diffraction pattern (Cu Ka), based on a structure optimized by DFT (GGA-PBE).
No peak broadening, texture or thermal motion is included.

Crystal structure
Cell lengths 3.775, 3.775, 14.853 Å; angles 90.00, 90.00, 120.00 degrees
Positions (direct):
1 Tb 0.333 0.667 0.086
2 Tb 0.333 0.667 0.414
3 Tb 0.667 0.333 0.586
4 Tb 0.667 0.333 0.914
5 C 0.000 0.000 0.000
6 C 0.000 0.000 0.500
7 I 0.333 0.667 0.750
8 I 0.667 0.333 0.250

Most intense lines, 10 to 90 degrees two-theta, by angle:
27.3 deg, I 24.2; 32.8 deg, I 100.0; 36.3 deg, I 16.1; 48.2 deg, I 23.7; 59.6 deg, I 18.1; 61.8 deg, I 20.7; 63.1 deg, I 15.0; 80.0 deg, I 15.5

Record 8
Y4CI5: theoretical powder X-ray diffraction pattern (Cu Ka), based on a structure optimized by DFT (GGA-PBE).
No peak broadening, texture or thermal motion is included.

Crystal structure
Cell lengths 9.840, 9.840, 8.606 Å; angles 102.19, 102.19, 23.33 degrees
Positions (direct):
1 Y 0.000 0.000 0.189
2 Y 0.000 0.000 0.811
3 Y 0.372 0.372 0.937
4 Y 0.628 0.628 0.063
5 C 0.500 0.500 0.000
6 I 0.163 0.163 0.339
7 I 0.166 0.166 0.822
8 I 0.500 0.500 0.500
9 I 0.834 0.834 0.178
10 I 0.837 0.837 0.661

Most intense lines, 10 to 90 degrees two-theta, by angle:
26.5 deg, I 16.5; 28.5 deg, I 47.1; 29.8 deg, I 15.8; 30.6 deg, I 100.0; 32.8 deg, I 24.5; 42.2 deg, I 27.7; 42.4 deg, I 27.4; 45.6 deg, I 18.1

Record 9
YCI: theoretical powder X-ray diffraction pattern (Cu Ka), based on a structure optimized by DFT (GGA-PBE).
No peak broadening, texture or thermal motion is included.

Crystal structure
Cell lengths 7.332, 3.914, 10.781 Å; angles 90.00, 93.52, 90.00 degrees
Positions (direct):
1 Y 0.147 0.000 0.128
2 Y 0.353 0.500 0.872
3 Y 0.647 0.500 0.128
4 Y 0.853 0.000 0.872
5 C 0.077 0.500 0.970
6 C 0.423 0.000 0.030
7 C 0.577 0.000 0.970
8 C 0.923 0.500 0.030
9 I 0.175 0.000 0.676
10 I 0.325 0.500 0.324
11 I 0.675 0.500 0.676
12 I 0.825 0.000 0.324

Most intense lines, 10 to 90 degrees two-theta, by angle:
16.5 deg, I 24.0; 25.8 deg, I 38.5; 28.6 deg, I 67.0; 30.4 deg, I 50.7; 31.2 deg, I 100.0; 42.0 deg, I 45.0; 43.7 deg, I 38.7; 55.4 deg, I 20.1